Record 1
Starting from a PBE-relaxed structure, the powder diffraction line list of MnVB4 was calculated for Cu Ka.

The 12 most intense peaks (10 to 90 degrees two-theta), by angle:
31.16 deg, d 2.870, intensity 67
34.50 deg, d 2.600, intensity 34
39.84 deg, d 2.263, intensity 62
46.41 deg, d 1.957, intensity 100
53.71 deg, d 1.707, intensity 36
62.16 deg, d 1.493, intensity 23
70.26 deg, d 1.340, intensity 11
70.85 deg, d 1.330, intensity 15
71.17 deg, d 1.325, intensity 11
73.08 deg, d 1.295, intensity 13
76.42 deg, d 1.246, intensity 15
86.62 deg, d 1.124, intensity 17

Cell and atoms:
```
MnVB4
1.0
2.9865 0.0000 0.0000
0.0000 2.9865 0.0000
0.0000 0.0000 10.3987
Mn V B
2 2 8
direct
0.0000 0.0000 0.0000 Mn
0.5000 0.5000 0.5000 Mn
0.0000 0.5000 0.2500 V
0.5000 0.0000 0.7500 V
0.0000 0.0000 0.4180 B
0.0000 0.0000 0.5820 B
0.0000 0.5000 0.6662 B
0.0000 0.5000 0.8338 B
0.5000 0.0000 0.1662 B
0.5000 0.0000 0.3338 B
0.5000 0.5000 0.0820 B
0.5000 0.5000 0.9180 B
```

Record 2
Starting from a PBE-relaxed structure, the powder diffraction line list of Th4Tc2Ag was calculated for Cu Ka.

The 12 most intense peaks (10 to 90 degrees two-theta), by angle:
25.58 deg, d 3.483, intensity 76
31.49 deg, d 2.841, intensity 85
31.61 deg, d 2.830, intensity 100
32.16 deg, d 2.783, intensity 83
32.41 deg, d 2.762, intensity 33
34.00 deg, d 2.637, intensity 27
38.46 deg, d 2.341, intensity 47
39.84 deg, d 2.263, intensity 50
40.96 deg, d 2.204, intensity 43
47.31 deg, d 1.921, intensity 32
52.57 deg, d 1.741, intensity 51
64.33 deg, d 1.448, intensity 21

Cell and atoms:
```
Th4Tc2Ag
1.0
6.0886 -4.4073 0.0000
6.0886 4.4073 0.0000
-2.7635 0.0000 7.1796
Th Tc Ag
8 4 2
direct
0.0000 0.0000 0.0000 Th
0.0000 0.0000 0.4764 Th
0.0212 0.4429 0.8620 Th
0.4429 0.0212 0.8620 Th
0.4540 0.9815 0.3560 Th
0.4844 0.4844 0.4725 Th
0.4963 0.4963 0.0026 Th
0.9815 0.4540 0.3560 Th
0.2070 0.7055 0.2183 Tc
0.2638 0.2638 0.1395 Tc
0.2843 0.2843 0.6310 Tc
0.7055 0.2070 0.2183 Tc
0.7704 0.7704 0.1107 Ag
0.7710 0.7710 0.6471 Ag
```

Record 3
Starting from a PBE-relaxed structure, the powder diffraction line list of Er6NiAu2 was calculated for Cu Ka.

The 12 most intense peaks (10 to 90 degrees two-theta), by angle:
29.77 deg, d 3.002, intensity 33
30.06 deg, d 2.973, intensity 42
30.81 deg, d 2.902, intensity 100
30.95 deg, d 2.889, intensity 64
32.62 deg, d 2.745, intensity 32
32.90 deg, d 2.722, intensity 32
36.33 deg, d 2.473, intensity 31
37.07 deg, d 2.425, intensity 46
40.13 deg, d 2.247, intensity 45
41.19 deg, d 2.192, intensity 29
55.76 deg, d 1.648, intensity 34
56.48 deg, d 1.629, intensity 31

Cell and atoms:
```
Er6NiAu2
1.0
6.6926 0.0000 0.0000
0.0000 7.1586 0.0000
-6.5688 0.0000 9.8920
Er Ni Au
12 2 4
direct
0.1119 0.0222 0.2480 Er
0.1119 0.4778 0.7480 Er
0.2291 0.6877 0.0604 Er
0.2291 0.8123 0.5604 Er
0.3761 0.1855 0.0611 Er
0.3761 0.3145 0.5611 Er
0.6239 0.6855 0.4389 Er
0.6239 0.8145 0.9389 Er
0.7709 0.1877 0.4396 Er
0.7709 0.3123 0.9396 Er
0.8881 0.5222 0.2520 Er
0.8881 0.9778 0.7520 Er
0.5000 0.0000 0.5000 Ni
0.5000 0.5000 0.0000 Ni
0.2984 0.1069 0.7481 Au
0.2984 0.3931 0.2481 Au
0.7016 0.6069 0.7519 Au
0.7016 0.8931 0.2519 Au
```

Record 4
Starting from a PBE-relaxed structure, the powder diffraction line list of Sc4B5C2 was calculated for Cu Ka.

The 12 most intense peaks (10 to 90 degrees two-theta), by angle:
25.79 deg, d 3.454, intensity 51
30.63 deg, d 2.919, intensity 46
33.15 deg, d 2.702, intensity 43
35.98 deg, d 2.496, intensity 41
37.16 deg, d 2.419, intensity 18
40.46 deg, d 2.229, intensity 100
42.47 deg, d 2.128, intensity 64
44.80 deg, d 2.023, intensity 60
53.02 deg, d 1.727, intensity 26
59.86 deg, d 1.545, intensity 15
65.75 deg, d 1.420, intensity 13
84.06 deg, d 1.151, intensity 16

Cell and atoms:
```
Sc4B5C2
1.0
5.8173 0.0000 0.0000
0.0000 3.4541 0.0000
-2.3245 0.0000 5.8373
Sc B C
4 5 2
direct
0.0032 0.0000 0.2393 Sc
0.4506 0.0000 0.7203 Sc
0.5494 0.0000 0.2797 Sc
0.9968 0.0000 0.7607 Sc
0.2647 0.5000 0.1022 B
0.3299 0.5000 0.4042 B
0.5000 0.5000 0.0000 B
0.6701 0.5000 0.5958 B
0.7353 0.5000 0.8978 B
0.1343 0.5000 0.5319 C
0.8657 0.5000 0.4681 C
```